Starting from DFT lattice parameters and positions (GGA-PBE), the X-ray diffraction stick pattern of Th6IrOs2S3 was calculated for Cu Kα (λ = 1.5418 Å).

The 12 most intense peaks (5° ≤ 2θ ≤ 70°), by intensity:
two_theta, d [Å], intensity
30.3, 2.952, 100
42.4, 2.134, 37
44.3, 2.044, 37
12.4, 7.133, 30
54.6, 1.680, 19
26.5, 3.361, 16
38.9, 2.314, 12
63.0, 1.476, 12
53.8, 1.705, 8
46.2, 1.965, 8
51.2, 1.783, 6
25.5, 3.492, 6

Cell and atoms:
```
data_Th6IrOs2S3
_symmetry_space_group_name_H-M 'C 1 2/m 1'
_symmetry_Int_Tables_number 12
_cell_length_a 18.5199
_cell_length_b 4.0874
_cell_length_c 8.5502
_cell_angle_alpha 90.00
_cell_angle_beta 106.93
_cell_angle_gamma 90.00
loop_
_symmetry_equiv_pos_as_xyz
'x,y,z'
'-x,-y,-z'
'-x,y,-z'
'x,-y,z'
'x+1/2,y+1/2,z'
'-x+1/2,-y+1/2,-z'
'-x+1/2,y+1/2,-z'
'x+1/2,-y+1/2,z'
loop_
_atom_site_label
_atom_site_type_symbol
_atom_site_fract_x
_atom_site_fract_y
_atom_site_fract_z
Th1 Th 0.0066 0.0000 0.2387
Th2 Th 0.1626 0.5000 0.1002
Th3 Th 0.1727 0.5000 0.5690
Ir1 Ir 0.0000 0.5000 0.0000
Os1 Os 0.1662 0.0000 0.3326
S1 S 0.0000 0.5000 0.5000
S2 S 0.1663 0.0000 0.8340
```



Starting from DFT lattice parameters and positions (GGA-PBE), the X-ray diffraction stick pattern of SbIrOs2 was calculated for Cu Kα (λ = 1.5418 Å).

The 11 most intense peaks (5° ≤ 2θ ≤ 70°), by intensity:
two_theta, d [Å], intensity
39.3, 2.295, 100
45.1, 2.009, 34
66.9, 1.398, 21
46.7, 1.947, 15
65.7, 1.420, 11
24.9, 3.570, 3
22.8, 3.893, 1
31.5, 2.841, 1
52.3, 1.751, 1
41.4, 2.180, 1
62.9, 1.477, 1

Cell and atoms:
```
data_SbIrOs2
_symmetry_space_group_name_H-M 'I -4 m 2'
_symmetry_Int_Tables_number 119
_symmetry_space_group_name_Hall 'I -4 -2'
_cell_length_a 4.0172
_cell_length_b 4.0172
_cell_length_c 7.7864
_cell_angle_alpha 90.00
_cell_angle_beta 90.00
_cell_angle_gamma 90.00
loop_
_atom_site_label
_atom_site_type_symbol
_atom_site_fract_x
_atom_site_fract_y
_atom_site_fract_z
Sb1 Sb 0.0000 0.0000 0.0000
Ir1 Ir 0.0000 0.5000 0.7500
Os1 Os 0.0000 0.0000 0.5000
Os2 Os 0.0000 0.5000 0.2500
```